1.
This entry pairs a crystal structure of DyMnSi with its simulated X-ray diffraction stick pattern. Radiation: λ = 1.5418 Å (Cu Kα). Structure: a DFT-relaxed cell (PBE, the Materials Project).
Peak positions follow from Bragg's law for the DFT cell and can differ from measured ones.

Principal peaks in the range 5 to 70 degrees two-theta, in order of rising 2θ:
hkl 0 1 1, d = 3.603 Å, I = 54.5; hkl 2 0 0, d = 3.494 Å, I = 33.5; hkl 1 1 2, d = 2.581 Å, I = 84.5; hkl 2 0 2, d = 2.564 Å, I = 28.7; hkl 2 1 1, d = 2.508 Å, I = 100.0; hkl 1 0 3, d = 2.368 Å, I = 40.6; hkl 0 2 0, d = 2.050 Å, I = 32.9; hkl 4 1 1, d = 1.572 Å, I = 20.4; hkl 1 2 3, d = 1.550 Å, I = 21.7; hkl 3 1 4, d = 1.381 Å, I = 24.7

Crystal structure
```
data_DyMnSi
_space_group_name_H-M_alt 'P n m a'
_space_group_IT_number 62
_cell_length_a 6.9875
_cell_length_b 4.0998
_cell_length_c 7.5502
_cell_angle_alpha 90.00
_cell_angle_beta 90.00
_cell_angle_gamma 90.00
loop_
_space_group_symop_operation_xyz
'x,y,z'
'-x,-y,-z'
'-x+1/2,-y,z+1/2'
'x+1/2,y,-z+1/2'
'x+1/2,-y+1/2,-z+1/2'
'-x+1/2,y+1/2,z+1/2'
'-x,y+1/2,-z'
'x,-y+1/2,z'
loop_
_atom_site_label
_atom_site_type_symbol
_atom_site_fract_x
_atom_site_fract_y
_atom_site_fract_z
Dy1 Dy 0.0076 0.2500 0.1860
Mn1 Mn 0.1378 0.2500 0.5588
Si1 Si 0.2110 0.7500 0.3899
```

=====

2.
This entry pairs a crystal structure of DyMo6S8 with its simulated X-ray diffraction stick pattern. Radiation: λ = 1.5418 Å (Cu Kα). Structure: a DFT-relaxed cell (PBE, the Materials Project).
Peak positions follow from Bragg's law for the DFT cell and can differ from measured ones.

Principal peaks in the range 5 to 70 degrees two-theta, in order of rising 2θ:
hkl 1 0 1, d = 6.505 Å, I = 83.0; hkl 0 1 2, d = 4.623 Å, I = 82.3; hkl 1 1 0, d = 4.576 Å, I = 69.0; hkl 3 -1 1, d = 2.897 Å, I = 88.7; hkl 3 -2 2, d = 2.651 Å, I = 74.4; hkl 0 1 5, d = 2.188 Å, I = 65.9; hkl 4 -3 1, d = 2.159 Å, I = 99.8; hkl 2 1 4, d = 2.063 Å, I = 75.5; hkl 3 1 2, d = 2.051 Å, I = 42.0; hkl 4 -2 3, d = 1.960 Å, I = 100.0

Crystal structure
```
data_DyMo6S8
_space_group_name_H-M_alt 'R -3'
_space_group_IT_number 148
_space_group_name_Hall '-R 3'
_cell_length_a 9.1527
_cell_length_b 9.1527
_cell_length_c 11.3841
_cell_angle_alpha 90.00
_cell_angle_beta 90.00
_cell_angle_gamma 120.00
loop_
_atom_site_label
_atom_site_type_symbol
_atom_site_fract_x
_atom_site_fract_y
_atom_site_fract_z
Dy1 Dy 0.0000 0.0000 0.0000
Mo1 Mo 0.0187 0.1778 0.4013
S1 S 0.0000 0.0000 0.2384
S2 S 0.0022 0.6212 0.7493
```